Entry 1:
Diffraction record for Li6In3Ga. The powder diffraction line list is simulated, not measured: it uses a PBE-relaxed structure and λ = 1.5418 Å (Cu Kα).
Neutral-atom scattering factors, no anomalous dispersion.

Largest 8 diffraction maxima, by intensity, 10° ≤ 2θ ≤ 80°:
38.4°, 2.342 Å, rel. 100.0; 27.0°, 3.299 Å, rel. 81.4; 26.8°, 3.329 Å, rel. 47.7; 62.9°, 1.478 Å, rel. 21.1; 38.7°, 2.327 Å, rel. 19.9; 11.3°, 7.840 Å, rel. 18.5; 47.5°, 1.913 Å, rel. 16.8; 47.7°, 1.907 Å, rel. 16.8

a = 8.136 Å, b = 4.655 Å, c = 9.925 Å
α = 90.00°, β = 105.51°, γ = 90.00°
Fractional positions:
1 Li 0.045 0.250 0.381
2 Li 0.138 0.750 0.191
3 Li 0.147 0.250 0.688
4 Li 0.234 0.250 0.995
5 Li 0.336 0.750 0.799
6 Li 0.450 0.250 0.599
7 Li 0.550 0.750 0.401
8 Li 0.664 0.250 0.201
9 Li 0.766 0.750 0.005
10 Li 0.853 0.750 0.312
11 Li 0.862 0.250 0.809
12 Li 0.955 0.750 0.619
13 In 0.240 0.750 0.499
14 In 0.353 0.250 0.302
15 In 0.450 0.750 0.098
16 In 0.550 0.250 0.902
17 In 0.647 0.750 0.698
18 In 0.760 0.250 0.501
19 Ga 0.051 0.750 0.909
20 Ga 0.949 0.250 0.091

---

Entry 2:
Diffraction record for Li3In3Ga. The powder diffraction line list is simulated, not measured: it uses a PBE-relaxed structure and λ = 1.5418 Å (Cu Kα).
Neutral-atom scattering factors, no anomalous dispersion.

Largest 8 diffraction maxima, by intensity, 10° ≤ 2θ ≤ 80°:
25.9°, 3.441 Å, rel. 100.0; 35.3°, 2.539 Å, rel. 89.0; 29.9°, 2.987 Å, rel. 86.7; 39.2°, 2.298 Å, rel. 49.8; 40.5°, 2.230 Å, rel. 48.3; 39.8°, 2.268 Å, rel. 42.5; 23.6°, 3.770 Å, rel. 36.4; 26.2°, 3.403 Å, rel. 31.2

a = 10.786 Å, b = 4.460 Å, c = 12.070 Å
α = 90.00°, β = 90.00°, γ = 90.00°
Fractional positions:
1 Li 0.025 0.250 0.093
2 Li 0.104 0.750 0.505
3 Li 0.186 0.750 0.714
4 Li 0.314 0.250 0.214
5 Li 0.396 0.250 0.005
6 Li 0.475 0.750 0.593
7 Li 0.525 0.250 0.407
8 Li 0.604 0.750 0.995
9 Li 0.686 0.750 0.786
10 Li 0.814 0.250 0.286
11 Li 0.896 0.250 0.495
12 Li 0.975 0.750 0.907
13 In 0.099 0.250 0.331
14 In 0.169 0.250 0.875
15 In 0.198 0.750 0.062
16 In 0.302 0.250 0.562
17 In 0.331 0.750 0.375
18 In 0.401 0.750 0.831
19 In 0.599 0.250 0.169
20 In 0.669 0.250 0.625
21 In 0.698 0.750 0.438
22 In 0.802 0.250 0.938
23 In 0.831 0.750 0.125
24 In 0.901 0.750 0.669
25 Ga 0.062 0.250 0.659
26 Ga 0.438 0.750 0.159
27 Ga 0.562 0.250 0.841
28 Ga 0.938 0.750 0.341

---

Entry 3:
Diffraction record for Li3InGa2. The powder diffraction line list is simulated, not measured: it uses a PBE-relaxed structure and λ = 1.5418 Å (Cu Kα).
Neutral-atom scattering factors, no anomalous dispersion.

Largest 8 diffraction maxima, by intensity, 10° ≤ 2θ ≤ 80°:
38.0°, 2.368 Å, rel. 100.0; 21.8°, 4.084 Å, rel. 84.1; 30.8°, 2.907 Å, rel. 70.3; 49.7°, 1.836 Å, rel. 35.5; 44.1°, 2.056 Å, rel. 32.3; 55.0°, 1.671 Å, rel. 26.2; 77.0°, 1.239 Å, rel. 22.8; 64.3°, 1.449 Å, rel. 20.2

a = 4.109 Å, b = 12.341 Å, c = 4.084 Å
α = 90.00°, β = 90.00°, γ = 90.00°
Fractional positions:
1 Li 0.250 0.079 0.000
2 Li 0.250 0.421 0.000
3 Li 0.250 0.750 0.001
4 Li 0.750 0.250 0.999
5 Li 0.750 0.579 0.000
6 Li 0.750 0.921 0.000
7 In 0.250 0.250 0.499
8 In 0.750 0.750 0.501
9 Ga 0.250 0.576 0.500
10 Ga 0.250 0.924 0.500
11 Ga 0.750 0.076 0.500
12 Ga 0.750 0.424 0.500

---

Entry 4:
Diffraction record for LiMgInGa. The powder diffraction line list is simulated, not measured: it uses a PBE-relaxed structure and λ = 1.5418 Å (Cu Kα).
Neutral-atom scattering factors, no anomalous dispersion.

Largest 8 diffraction maxima, by intensity, 10° ≤ 2θ ≤ 80°:
36.3°, 2.475 Å, rel. 100.0; 20.7°, 4.286 Å, rel. 53.6; 29.5°, 3.032 Å, rel. 45.3; 52.3°, 1.750 Å, rel. 17.8; 41.2°, 2.193 Å, rel. 17.5; 42.2°, 2.143 Å, rel. 16.3; 43.1°, 2.099 Å, rel. 15.3; 71.8°, 1.314 Å, rel. 12.7

a = 4.197 Å, b = 4.286 Å, c = 4.385 Å
α = 90.00°, β = 90.00°, γ = 90.00°
Fractional positions:
1 Li 0.000 0.000 0.000
2 Mg 0.500 0.000 0.500
3 In 0.500 0.500 0.000
4 Ga 0.000 0.500 0.500

---

Entry 5:
Diffraction record for LiScInGa. The powder diffraction line list is simulated, not measured: it uses a PBE-relaxed structure and λ = 1.5418 Å (Cu Kα).
Neutral-atom scattering factors, no anomalous dispersion.

Largest 8 diffraction maxima, by intensity, 10° ≤ 2θ ≤ 80°:
37.1°, 2.426 Å, rel. 100.0; 27.1°, 3.287 Å, rel. 38.7; 24.8°, 3.594 Å, rel. 24.2; 37.8°, 2.379 Å, rel. 23.6; 39.6°, 2.273 Å, rel. 20.6; 19.5°, 4.547 Å, rel. 15.8; 67.8°, 1.382 Å, rel. 15.8; 55.9°, 1.644 Å, rel. 14.4

a = 3.594 Å, b = 4.547 Å, c = 4.758 Å
α = 90.00°, β = 90.00°, γ = 90.00°
Fractional positions:
1 Li 0.000 0.000 0.000
2 Sc 0.000 0.500 0.500
3 In 0.500 0.500 0.000
4 Ga 0.500 0.000 0.500

---

Entry 6:
Diffraction record for LiTiInGa. The powder diffraction line list is simulated, not measured: it uses a PBE-relaxed structure and λ = 1.5418 Å (Cu Kα).
Neutral-atom scattering factors, no anomalous dispersion.

Largest 8 diffraction maxima, by intensity, 10° ≤ 2θ ≤ 80°:
38.8°, 2.318 Å, rel. 100.0; 27.2°, 3.279 Å, rel. 41.4; 70.3°, 1.339 Å, rel. 32.2; 56.1°, 1.639 Å, rel. 16.3; 23.5°, 3.786 Å, rel. 16.0; 63.4°, 1.466 Å, rel. 15.2; 48.1°, 1.893 Å, rel. 11.8; 45.9°, 1.977 Å, rel. 7.4

a = 4.637 Å, b = 4.637 Å, c = 4.637 Å
α = 60.00°, β = 60.00°, γ = 60.00°
Fractional positions:
1 Li 0.000 0.000 0.000
2 Ti 0.500 0.500 0.500
3 In 0.250 0.250 0.250
4 Ga 0.750 0.750 0.750